Theoretical X-ray diffraction stick pattern
Compound: Al4GaOs
Radiation: Cu Kα (weighted mean of Kα1 and Kα2)
Structure: the GGA-PBE geometry in Alexandria

Cell: 7.318 7.302 6.050 Å, 65.69 65.42 48.89°
Element x y z (fractional)
Al (0.000, 0.499, 0.771)
Al (0.000, 0.501, 0.229)
Al (0.229, 0.770, 0.000)
Al (0.230, 0.771, 0.499)
Al (0.499, 0.000, 0.230)
Al (0.501, 0.000, 0.770)
Al (0.770, 0.229, 0.501)
Al (0.771, 0.230, 0.000)
Ga (0.375, 0.375, 0.375)
Ga (0.625, 0.625, 0.625)
Os (0.125, 0.125, 0.125)
Os (0.875, 0.875, 0.875)

Most intense lines, 15 to 90 degrees two-theta, sorted by position:
| 2θ (°) | d [Å] | I (rel.) |
| --- | --- | --- |
| 16.45 | 5.389 | 61 |
| 25.63 | 3.476 | 97 |
| 25.73 | 3.462 | 98 |
| 29.53 | 3.025 | 23 |
| 42.11 | 2.146 | 26 |
| 42.39 | 2.132 | 25 |
| 42.71 | 2.117 | 100 |
| 50.01 | 1.824 | 32 |
| 50.19 | 1.818 | 32 |
| 50.87 | 1.795 | 20 |

Theoretical X-ray diffraction stick pattern
Compound: Pa2Al3Ga
Radiation: Cu Kα (weighted mean of Kα1 and Kα2)
Structure: the GGA-PBE geometry in Alexandria

Cell: 5.562 5.562 8.775 Å, 90.00 90.00 120.00°
Element x y z (fractional)
Pa (0.333, 0.667, 0.087)
Pa (0.333, 0.667, 0.413)
Pa (0.667, 0.333, 0.587)
Pa (0.667, 0.333, 0.913)
Al (0.173, 0.346, 0.750)
Al (0.173, 0.827, 0.750)
Al (0.346, 0.173, 0.250)
Al (0.654, 0.827, 0.750)
Al (0.827, 0.173, 0.250)
Al (0.827, 0.654, 0.250)
Ga (0.000, 0.000, 0.000)
Ga (0.000, 0.000, 0.500)

Most intense lines, 15 to 90 degrees two-theta, sorted by position:
| 2θ (°) | d [Å] | I (rel.) |
| --- | --- | --- |
| 18.42 | 4.817 | 29 |
| 21.04 | 4.223 | 67 |
| 32.19 | 2.781 | 96 |
| 35.92 | 2.500 | 100 |
| 38.32 | 2.349 | 46 |
| 38.77 | 2.323 | 35 |
| 48.99 | 1.859 | 26 |
| 57.39 | 1.606 | 19 |
| 59.83 | 1.546 | 46 |
| 78.75 | 1.215 | 22 |

Theoretical X-ray diffraction stick pattern
Compound: PaAl3Ga3
Radiation: Cu Kα (weighted mean of Kα1 and Kα2)
Structure: the GGA-PBE geometry in Alexandria

Cell: 6.888 6.888 6.888 Å, 90.00 90.00 90.00°
Element x y z (fractional)
Pa (0.000, 0.000, 0.000)
Pa (0.500, 0.500, 0.500)
Al (0.000, 0.250, 0.500)
Al (0.000, 0.750, 0.500)
Al (0.250, 0.500, 0.000)
Al (0.500, 0.000, 0.250)
Al (0.500, 0.000, 0.750)
Al (0.750, 0.500, 0.000)
Ga (0.000, 0.500, 0.250)
Ga (0.000, 0.500, 0.750)
Ga (0.250, 0.000, 0.500)
Ga (0.500, 0.250, 0.000)
Ga (0.500, 0.750, 0.000)
Ga (0.750, 0.000, 0.500)

Most intense lines, 15 to 90 degrees two-theta, sorted by position:
| 2θ (°) | d [Å] | I (rel.) |
| --- | --- | --- |
| 18.21 | 4.871 | 26 |
| 25.87 | 3.444 | 42 |
| 28.99 | 3.081 | 10 |
| 31.82 | 2.812 | 100 |
| 49.51 | 1.841 | 59 |
| 53.19 | 1.722 | 15 |
| 60.07 | 1.540 | 17 |
| 63.33 | 1.469 | 14 |
| 75.61 | 1.258 | 17 |
| 87.25 | 1.117 | 18 |

Theoretical X-ray diffraction stick pattern
Compound: Pa2AlGa9
Radiation: Cu Kα (weighted mean of Kα1 and Kα2)
Structure: the GGA-PBE geometry in Alexandria

Cell: 4.339 4.339 12.161 Å, 90.00 90.00 90.00°
Element x y z (fractional)
Pa (0.000, 0.000, 0.174)
Pa (0.000, 0.000, 0.826)
Al (0.000, 0.000, 0.500)
Ga (0.000, 0.500, 0.000)
Ga (0.000, 0.500, 0.351)
Ga (0.000, 0.500, 0.649)
Ga (0.500, 0.000, 0.000)
Ga (0.500, 0.000, 0.351)
Ga (0.500, 0.000, 0.649)
Ga (0.500, 0.500, 0.166)
Ga (0.500, 0.500, 0.500)
Ga (0.500, 0.500, 0.834)

Most intense lines, 15 to 90 degrees two-theta, sorted by position:
| 2θ (°) | d [Å] | I (rel.) |
| --- | --- | --- |
| 20.47 | 4.339 | 11 |
| 21.75 | 4.087 | 9 |
| 25.22 | 3.532 | 11 |
| 36.74 | 2.446 | 100 |
| 41.63 | 2.169 | 37 |
| 44.71 | 2.027 | 13 |
| 60.34 | 1.534 | 12 |
| 62.74 | 1.481 | 19 |
| 72.77 | 1.300 | 27 |
| 78.14 | 1.223 | 10 |

Theoretical X-ray diffraction stick pattern
Compound: Pa2Al3Ga3
Radiation: Cu Kα (weighted mean of Kα1 and Kα2)
Structure: the GGA-PBE geometry in Alexandria

Cell: 4.307 4.332 8.528 Å, 90.00 90.00 90.00°
Element x y z (fractional)
Pa (0.000, 0.000, 0.248)
Pa (0.000, 0.000, 0.752)
Al (0.000, 0.500, 0.500)
Al (0.500, 0.500, 0.255)
Al (0.500, 0.500, 0.745)
Ga (0.000, 0.500, 0.000)
Ga (0.500, 0.000, 0.000)
Ga (0.500, 0.000, 0.500)

Most intense lines, 15 to 90 degrees two-theta, sorted by position:
| 2θ (°) | d [Å] | I (rel.) |
| --- | --- | --- |
| 20.50 | 4.332 | 35 |
| 20.62 | 4.307 | 21 |
| 29.45 | 3.033 | 48 |
| 36.18 | 2.483 | 100 |
| 41.70 | 2.166 | 17 |
| 41.96 | 2.153 | 17 |
| 42.40 | 2.132 | 16 |
| 47.56 | 1.912 | 13 |
| 72.51 | 1.304 | 13 |
| 72.87 | 1.298 | 13 |

Theoretical X-ray diffraction stick pattern
Compound: Pa3AlGa2
Radiation: Cu Kα (weighted mean of Kα1 and Kα2)
Structure: the GGA-PBE geometry in Alexandria

Cell: 6.047 8.576 5.107 Å, 90.00 90.00 90.00°
Element x y z (fractional)
Pa (0.000, 0.000, 0.000)
Pa (0.239, 0.328, 0.000)
Pa (0.261, 0.828, 0.500)
Pa (0.500, 0.500, 0.500)
Pa (0.739, 0.172, 0.500)
Pa (0.761, 0.672, 0.000)
Al (0.000, 0.500, 0.500)
Al (0.500, 0.000, 0.000)
Ga (0.233, 0.172, 0.500)
Ga (0.267, 0.672, 0.000)
Ga (0.733, 0.328, 0.000)
Ga (0.767, 0.828, 0.500)

Most intense lines, 15 to 90 degrees two-theta, sorted by position:
| 2θ (°) | d [Å] | I (rel.) |
| --- | --- | --- |
| 17.95 | 4.942 | 15 |
| 25.07 | 3.552 | 28 |
| 25.46 | 3.498 | 12 |
| 35.14 | 2.554 | 30 |
| 36.03 | 2.492 | 100 |
| 36.36 | 2.471 | 26 |
| 51.46 | 1.776 | 20 |
| 63.63 | 1.462 | 20 |
| 65.14 | 1.432 | 11 |
| 73.21 | 1.293 | 15 |